Starting from a structure optimized by DFT (GGA-PBE), the X-ray diffraction stick pattern of SmZn8Ag4 was computed for Cu Ka.
Kinematic intensities with the Lorentz-polarization factor, no thermal factor.

Structural model:
Unit cell a=9.148 b=9.148 c=5.437 alpha=90.00 beta=90.00 gamma=90.00
Space group I4/mmm (No. 139)
Asymmetric unit:
Sm (0.000, 0.000, 0.000) [2 per cell]
Zn (0.000, 0.210, 0.500) [8 per cell]
Zn (0.000, 0.355, 0.000) [8 per cell]
Ag (0.250, 0.250, 0.250) [8 per cell]

Largest 10 diffraction maxima, in order of rising 2θ, 2θ = 10–90°:
33.7 deg, intensity 40, (3 0 1); 38.5 deg, intensity 100, (2 0 2); 39.2 deg, intensity 80, (3 2 1); 39.4 deg, intensity 63, (4 0 0); 43.5 deg, intensity 52, (2 2 2); 44.3 deg, intensity 33, (4 2 0); 56.3 deg, intensity 18, (4 2 2); 63.0 deg, intensity 19, (3 2 3); 70.9 deg, intensity 28, (6 0 2); 82.6 deg, intensity 19, (4 0 4)